# 1
The following is a theoretical powder diffraction line list of SrSi3Os3. It was derived from the PBE geometry in Alexandria, using λ = 1.5418 Å (Cu Kα).

Structure:
Cell lengths 6.5934, 6.5934, 22.3196 Å; angles 90.00, 90.00, 120.00 degrees
Space group R-3 (No. 148, hexagonal axes)
Inequivalent atoms, fractional coordinates:
Sr 0.0000 0.0000 0.1672
Si 0.0192 0.7411 0.5977
Os 0.0258 0.6336 0.3750

Main lines, by angle (2θ = 10–90°):
2θ = 11.90°, rel. 100; 2θ = 27.05°, rel. 17; 2θ = 29.64°, rel. 91; 2θ = 36.22°, rel. 20; 2θ = 36.42°, rel. 68; 2θ = 42.06°, rel. 21; 2θ = 42.67°, rel. 15; 2θ = 45.78°, rel. 28; 2θ = 47.79°, rel. 26; 2θ = 61.40°, rel. 14

***

# 2
The following is a theoretical powder diffraction line list of Ta4Si6Os7. It was derived from the PBE geometry in Alexandria, using λ = 1.5418 Å (Cu Kα).

Structure:
Cell lengths 7.960, 7.960, 7.960 Å; angles 90.00, 90.00, 90.00 degrees
Space group Im-3m (No. 229)
Inequivalent atoms, fractional coordinates:
Ta 0.250 0.250 0.250
Si 0.000 0.000 0.310
Os 0.000 0.000 0.000
Os 0.000 0.250 0.500

Main lines, by angle (2θ = 10–90°):
2θ = 27.45°, rel. 54; 2θ = 31.80°, rel. 21; 2θ = 39.20°, rel. 100; 2θ = 42.49°, rel. 46; 2θ = 45.58°, rel. 71; 2θ = 54.03°, rel. 15; 2θ = 66.44°, rel. 45; 2θ = 73.31°, rel. 13; 2θ = 79.94°, rel. 36; 2θ = 84.28°, rel. 15

***

# 3
The following is a theoretical powder diffraction line list of TbSi4Os4. It was derived from the PBE geometry in Alexandria, using λ = 1.5418 Å (Cu Kα).

Structure:
Cell lengths 5.961, 5.961, 8.025 Å; angles 90.00, 90.00, 90.00 degrees
Space group P4_2/nmc (No. 137, origin choice 2)
Inequivalent atoms, fractional coordinates:
Tb 0.250 0.750 0.250
Si 0.053 0.250 0.072
Os 0.003 0.250 0.373

Main lines, by angle (2θ = 10–90°):
2θ = 26.78°, rel. 50; 2θ = 32.03°, rel. 57; 2θ = 35.48°, rel. 100; 2θ = 36.83°, rel. 42; 2θ = 40.63°, rel. 40; 2θ = 42.92°, rel. 32; 2θ = 45.57°, rel. 39; 2θ = 56.86°, rel. 21; 2θ = 62.31°, rel. 22; 2θ = 64.08°, rel. 37

***

# 4
The following is a theoretical powder diffraction line list of Tb3Si2Os. It was derived from the PBE geometry in Alexandria, using λ = 1.5418 Å (Cu Kα).

Structure:
Cell lengths 11.592, 4.174, 11.313 Å; angles 90.00, 90.00, 90.00 degrees
Space group Pnma (No. 62)
Inequivalent atoms, fractional coordinates:
Tb 0.059 0.250 0.121
Tb 0.121 0.750 0.557
Tb 0.213 0.250 0.799
Si 0.023 0.750 0.313
Si 0.196 0.750 0.992
Os 0.127 0.250 0.364

Main lines, by angle (2θ = 10–90°):
2θ = 10.93°, rel. 32; 2θ = 27.49°, rel. 47; 2θ = 30.78°, rel. 55; 2θ = 31.98°, rel. 100; 2θ = 32.58°, rel. 49; 2θ = 35.40°, rel. 96; 2θ = 38.65°, rel. 48; 2θ = 41.60°, rel. 40; 2θ = 42.91°, rel. 33; 2θ = 43.35°, rel. 51

***

# 5
The following is a theoretical powder diffraction line list of TbSi2Os4. It was derived from the PBE geometry in Alexandria, using λ = 1.5418 Å (Cu Kα).

Structure:
Cell lengths 3.988, 14.094, 3.971 Å; angles 90.00, 90.00, 90.00 degrees
Space group Cmmm (No. 65)
Inequivalent atoms, fractional coordinates:
Tb 0.000 0.000 0.000
Si 0.000 0.416 0.500
Os 0.000 0.186 0.500
Os 0.000 0.311 0.000

Main lines, by angle (2θ = 10–90°):
2θ = 12.56°, rel. 53; 2θ = 37.25°, rel. 100; 2θ = 38.32°, rel. 13; 2θ = 45.53°, rel. 46; 2θ = 45.69°, rel. 18; 2θ = 56.18°, rel. 7; 2θ = 66.45°, rel. 12; 2θ = 78.58°, rel. 12; 2θ = 78.87°, rel. 12; 2θ = 84.12°, rel. 8

***

# 6
The following is a theoretical powder diffraction line list of USi2TcOs. It was derived from the PBE geometry in Alexandria, using λ = 1.5418 Å (Cu Kα).

Structure:
Cell lengths 4.184, 4.184, 9.563 Å; angles 90.00, 90.00, 90.00 degrees
Space group I-4m2 (No. 119)
Inequivalent atoms, fractional coordinates:
U 0.000 0.000 0.000
Si 0.000 0.000 0.375
Tc 0.000 0.500 0.250
Os 0.000 0.500 0.750

Main lines, by angle (2θ = 10–90°):
2θ = 23.20°, rel. 45; 2θ = 35.40°, rel. 31; 2θ = 35.69°, rel. 100; 2θ = 37.62°, rel. 17; 2θ = 43.25°, rel. 36; 2θ = 49.64°, rel. 13; 2θ = 57.08°, rel. 16; 2θ = 58.64°, rel. 19; 2θ = 66.65°, rel. 17; 2θ = 74.39°, rel. 24

***

# 7
The following is a theoretical powder diffraction line list of Th2Si3Os2. It was derived from the PBE geometry in Alexandria, using λ = 1.5418 Å (Cu Kα).

Structure:
Cell lengths 4.256, 18.067, 6.933 Å; angles 90.00, 90.00, 90.00 degrees
Space group Cmcm (No. 63)
Inequivalent atoms, fractional coordinates:
Th 0.000 0.053 0.250
Th 0.000 0.156 0.750
Si 0.000 0.222 0.250
Si 0.000 0.438 0.065
Os 0.000 0.308 0.552

Main lines, by angle (2θ = 10–90°):
2θ = 25.04°, rel. 31; 2θ = 28.73°, rel. 24; 2θ = 32.45°, rel. 58; 2θ = 33.72°, rel. 99; 2θ = 35.06°, rel. 100; 2θ = 36.61°, rel. 44; 2θ = 39.92°, rel. 25; 2θ = 42.48°, rel. 46; 2θ = 44.02°, rel. 52; 2θ = 62.83°, rel. 37

***

# 8
The following is a theoretical powder diffraction line list of ThSi4Os2. It was derived from the PBE geometry in Alexandria, using λ = 1.5418 Å (Cu Kα).

Structure:
Cell lengths 17.013, 4.236, 6.448 Å; angles 90.00, 90.00, 90.00 degrees
Space group Pnma (No. 62)
Inequivalent atoms, fractional coordinates:
Th 0.140 0.250 0.026
Si 0.028 0.750 0.145
Si 0.065 0.250 0.527
Si 0.186 0.750 0.711
Si 0.194 0.750 0.307
Os 0.035 0.750 0.753
Os 0.211 0.250 0.505

Main lines, by angle (2θ = 10–90°):
2θ = 23.46°, rel. 21; 2θ = 25.13°, rel. 25; 2θ = 29.65°, rel. 48; 2θ = 29.76°, rel. 53; 2θ = 36.60°, rel. 100; 2θ = 39.63°, rel. 28; 2θ = 42.69°, rel. 29; 2θ = 52.84°, rel. 20; 2θ = 55.04°, rel. 16; 2θ = 59.66°, rel. 17